Starting from a crystal structure in Alexandria, relaxed with GGA-PBE, the powder diffractogram of NdRe4Se7 was calculated for copper Kα.
Neutral-atom scattering factors, no anomalous dispersion.

Structure:
Unit cell a=4.876 b=17.397 c=6.495 alpha=90.00 beta=103.87 gamma=90.00
Element x y z (fractional)
Nd: 0.000 0.000 0.000
Nd: 0.393 0.500 0.439
Re: 0.574 0.236 0.874
Re: 0.574 0.764 0.874
Re: 0.591 0.146 0.190
Re: 0.591 0.854 0.190
Re: 0.864 0.355 0.584
Re: 0.864 0.645 0.584
Re: 0.914 0.263 0.258
Re: 0.914 0.737 0.258
Se: 0.074 0.264 0.907
Se: 0.074 0.736 0.907
Se: 0.116 0.126 0.308
Se: 0.116 0.874 0.308
Se: 0.438 0.375 0.755
Se: 0.438 0.625 0.755
Se: 0.461 0.095 0.818
Se: 0.461 0.905 0.818
Se: 0.509 0.249 0.461
Se: 0.509 0.751 0.461
Se: 0.592 0.000 0.330
Se: 0.857 0.408 0.229
Se: 0.857 0.592 0.229
Se: 0.973 0.500 0.744

Peak list (10 most intense, 15° ≤ 2θ ≤ 90°, most intense first)
2θ (°), Rel. int.
38.95, 100
35.16, 94
24.27, 89
42.68, 87
41.53, 84
43.42, 78
37.37, 78
18.74, 70
29.15, 66
38.38, 52



Starting from a crystal structure in Alexandria, relaxed with GGA-PBE, the powder diffractogram of Nd2Re3Tc was calculated for copper Kα.
Neutral-atom scattering factors, no anomalous dispersion.

Structure:
Unit cell a=5.376 b=5.376 c=5.672 alpha=118.92 beta=118.92 gamma=60.16
Element x y z (fractional)
Nd: 0.126 0.126 0.378
Nd: 0.874 0.874 0.622
Re: 0.000 0.500 0.000
Re: 0.500 0.000 0.000
Re: 0.500 0.500 0.000
Tc: 0.500 0.500 0.500

Peak list (10 most intense, 15° ≤ 2θ ≤ 90°, most intense first)
2θ (°), Rel. int.
38.32, 100
39.11, 88
40.85, 76
37.11, 55
38.50, 52
38.80, 51
31.92, 49
39.36, 43
40.67, 39
66.73, 38



Starting from a crystal structure in Alexandria, relaxed with GGA-PBE, the powder diffractogram of NdTmRe was calculated for copper Kα.
Neutral-atom scattering factors, no anomalous dispersion.

Structure:
Unit cell a=5.014 b=5.014 c=7.656 alpha=109.05 beta=109.05 gamma=60.07
Element x y z (fractional)
Nd: 0.208 0.208 0.122
Nd: 0.792 0.792 0.878
Tm: 0.371 0.371 0.613
Tm: 0.629 0.629 0.387
Re: 0.057 0.057 0.671
Re: 0.943 0.943 0.329

Peak list (10 most intense, 15° ≤ 2θ ≤ 90°, most intense first)
2θ (°), Rel. int.
35.80, 100
36.07, 71
64.34, 40
29.38, 28
51.73, 26
64.47, 18
20.87, 14
86.99, 14
38.06, 12
64.57, 9



Starting from a crystal structure in Alexandria, relaxed with GGA-PBE, the powder diffractogram of Nd4Rh was calculated for copper Kα.
Neutral-atom scattering factors, no anomalous dispersion.

Structure:
Unit cell a=7.521 b=7.521 c=7.521 alpha=108.56 beta=108.56 gamma=111.32
Element x y z (fractional)
Nd: 0.081 0.384 0.299
Nd: 0.086 0.783 0.701
Nd: 0.134 0.331 0.799
Nd: 0.217 0.919 0.303
Nd: 0.533 0.336 0.201
Nd: 0.616 0.914 0.697
Nd: 0.664 0.866 0.197
Nd: 0.669 0.467 0.803
Rh: 0.000 0.000 0.000
Rh: 0.750 0.250 0.500

Peak list (10 most intense, 15° ≤ 2θ ≤ 90°, most intense first)
2θ (°), Rel. int.
29.27, 100
32.35, 54
33.28, 41
28.75, 33
38.45, 28
41.11, 22
53.26, 21
20.22, 16
51.26, 15
49.38, 15



Starting from a crystal structure in Alexandria, relaxed with GGA-PBE, the powder diffractogram of Nd4RuRh2 was calculated for copper Kα.
Neutral-atom scattering factors, no anomalous dispersion.

Structure:
Unit cell a=7.662 b=7.662 c=7.662 alpha=109.63 beta=109.61 gamma=109.17
Element x y z (fractional)
Nd: 0.124 0.124 0.121
Nd: 0.376 0.497 0.000
Nd: 0.502 0.003 0.379
Nd: 0.504 0.004 0.884
Nd: 0.620 0.619 0.616
Nd: 0.880 0.496 0.999
Nd: 0.996 0.881 0.501
Nd: 0.998 0.376 0.500
Ru: 0.637 0.387 0.250
Ru: 0.863 0.113 0.750
Rh: 0.123 0.750 0.873
Rh: 0.250 0.638 0.388
Rh: 0.377 0.250 0.627
Rh: 0.750 0.862 0.112

Peak list (10 most intense, 15° ≤ 2θ ≤ 90°, most intense first)
2θ (°), Rel. int.
32.04, 100
38.03, 54
31.89, 51
52.72, 30
38.11, 25
28.54, 21
65.07, 21
48.25, 16
79.77, 16
52.85, 16



Starting from a crystal structure in Alexandria, relaxed with GGA-PBE, the powder diffractogram of Nd4Ru2Rh was calculated for copper Kα.
Neutral-atom scattering factors, no anomalous dispersion.

Structure:
Unit cell a=7.917 b=7.917 c=6.899 alpha=107.91 beta=107.91 gamma=110.56
Element x y z (fractional)
Nd: 0.031 0.969 0.500
Nd: 0.318 0.462 0.017
Nd: 0.432 0.816 0.610
Nd: 0.462 0.318 0.517
Nd: 0.602 0.989 0.226
Nd: 0.816 0.432 0.110
Nd: 0.969 0.031 0.000
Nd: 0.989 0.602 0.726
Ru: 0.180 0.820 0.199
Ru: 0.676 0.683 0.960
Ru: 0.683 0.676 0.460
Ru: 0.820 0.180 0.699
Rh: 0.098 0.349 0.471
Rh: 0.349 0.098 0.971

Peak list (10 most intense, 15° ≤ 2θ ≤ 90°, most intense first)
2θ (°), Rel. int.
30.76, 100
33.81, 66
33.55, 60
36.50, 56
31.53, 53
37.26, 46
38.29, 42
34.09, 42
36.17, 23
55.17, 23



Starting from a crystal structure in Alexandria, relaxed with GGA-PBE, the powder diffractogram of NdRuRh was calculated for copper Kα.
Neutral-atom scattering factors, no anomalous dispersion.

Structure:
Unit cell a=5.203 b=5.203 c=4.980 alpha=104.62 beta=104.62 gamma=65.85
Element x y z (fractional)
Nd: 0.132 0.132 0.364
Nd: 0.868 0.868 0.636
Ru: 0.489 0.489 0.734
Ru: 0.511 0.511 0.266
Rh: 0.000 0.500 0.000
Rh: 0.500 0.000 0.000

Peak list (10 most intense, 15° ≤ 2θ ≤ 90°, most intense first)
2θ (°), Rel. int.
37.54, 100
36.03, 86
37.00, 76
39.98, 71
32.58, 63
38.48, 58
28.96, 53
50.16, 36
45.67, 34
35.89, 32



Starting from a crystal structure in Alexandria, relaxed with GGA-PBE, the powder diffractogram of NdRuRh4S8 was calculated for copper Kα.
Neutral-atom scattering factors, no anomalous dispersion.

Structure:
Unit cell a=7.232 b=7.232 c=7.232 alpha=60.41 beta=60.41 gamma=60.41
Element x y z (fractional)
Nd: 0.000 0.000 0.000
Ru: 0.621 0.621 0.621
Rh: 0.128 0.623 0.623
Rh: 0.249 0.249 0.249
Rh: 0.623 0.128 0.623
Rh: 0.623 0.623 0.128
S: 0.386 0.386 0.386
S: 0.386 0.386 0.840
S: 0.386 0.840 0.386
S: 0.440 0.850 0.850
S: 0.840 0.386 0.386
S: 0.850 0.440 0.850
S: 0.850 0.850 0.440
S: 0.852 0.852 0.852

Peak list (10 most intense, 15° ≤ 2θ ≤ 90°, most intense first)
2θ (°), Rel. int.
28.82, 100
45.92, 50
50.14, 39
50.48, 38
28.98, 33
24.62, 25
24.46, 25
34.98, 24
46.09, 14
43.12, 14